This entry pairs a crystal structure of Sc3Zn3CuNi2 with its simulated powder diffraction line list. Radiation: Cu Kα, 1.54184 Å. Structure: DFT lattice parameters and positions (PBE).

Top 10 peaks for 10 to 90 degrees two-theta, low angle first:
2θ (°)	Rel. int.
26.1	15
36.7	87
39.8	100
40.3	50
46.0	46
48.2	53
52.0	26
67.7	19
71.9	22
75.0	33

Structure:
```
Sc3Zn3CuNi2
1.0
6.835 0.000 0.000
-3.418 5.920 0.000
0.000 0.000 3.520
Sc Zn Cu Ni
3 3 1 2
direct
0.000 0.412 0.000 Sc
0.412 0.000 0.000 Sc
0.588 0.588 0.000 Sc
0.000 0.742 0.500 Zn
0.258 0.258 0.500 Zn
0.742 0.000 0.500 Zn
0.000 0.000 0.000 Cu
0.333 0.667 0.500 Ni
0.667 0.333 0.500 Ni
```

***

This entry pairs a crystal structure of CuNi2Se3 with its simulated powder diffraction line list. Radiation: Cu Kα, 1.54184 Å. Structure: DFT lattice parameters and positions (PBE).

Top 10 peaks for 10 to 90 degrees two-theta, low angle first:
2θ (°)	Rel. int.
14.4	100
29.2	23
29.5	26
30.3	20
37.1	23
39.2	53
46.7	21
47.2	44
52.1	18
52.6	24

Structure:
```
CuNi2Se3
1.0
6.940 0.000 0.000
0.000 3.482 0.000
-2.193 0.000 9.183
Cu Ni Se
2 4 6
direct
0.104 0.250 0.085 Cu
0.896 0.750 0.915 Cu
0.284 0.750 0.296 Ni
0.442 0.750 0.576 Ni
0.558 0.250 0.424 Ni
0.716 0.250 0.704 Ni
0.070 0.250 0.818 Se
0.225 0.250 0.474 Se
0.453 0.250 0.177 Se
0.547 0.750 0.823 Se
0.775 0.750 0.526 Se
0.930 0.750 0.182 Se
```

***

This entry pairs a crystal structure of ZnCuNiSe3 with its simulated powder diffraction line list. Radiation: Cu Kα, 1.54184 Å. Structure: DFT lattice parameters and positions (PBE).

Top 10 peaks for 10 to 90 degrees two-theta, low angle first:
2θ (°)	Rel. int.
14.3	100
28.5	35
29.8	18
30.1	24
31.4	27
35.7	18
37.3	41
44.8	29
46.0	61
48.3	32

Structure:
```
ZnCuNiSe3
1.0
6.947 0.000 0.000
0.000 3.768 0.000
-2.237 0.000 9.411
Zn Cu Ni Se
2 2 2 6
direct
0.197 0.250 0.236 Zn
0.803 0.750 0.764 Zn
0.410 0.750 0.419 Cu
0.590 0.250 0.581 Cu
0.037 0.250 0.918 Ni
0.963 0.750 0.082 Ni
0.035 0.750 0.335 Se
0.245 0.750 0.989 Se
0.439 0.750 0.679 Se
0.561 0.250 0.321 Se
0.755 0.250 0.011 Se
0.965 0.250 0.665 Se
```

***

This entry pairs a crystal structure of Sr2CuSi2Ni3 with its simulated powder diffraction line list. Radiation: Cu Kα, 1.54184 Å. Structure: DFT lattice parameters and positions (PBE).

Top 10 peaks for 10 to 90 degrees two-theta, low angle first:
2θ (°)	Rel. int.
16.8	22
25.3	39
26.7	28
33.9	38
36.1	100
44.6	79
57.2	48
58.6	27
67.5	25
76.5	22

Structure:
```
Sr2CuSi2Ni3
1.0
4.065 0.000 0.000
-2.033 3.520 0.000
0.000 0.000 10.567
Sr Cu Si Ni
2 1 2 3
direct
0.000 0.000 0.000 Sr
0.333 0.667 0.507 Sr
0.000 0.000 0.291 Cu
0.667 0.333 0.244 Si
0.667 0.333 0.752 Si
0.000 0.000 0.717 Ni
0.333 0.667 0.221 Ni
0.333 0.667 0.785 Ni
```

***

Copy entry 1 word for word.
This entry pairs a crystal structure of Sc3Zn3CuNi2 with its simulated powder diffraction line list. Radiation: Cu Kα, 1.54184 Å. Structure: DFT lattice parameters and positions (PBE).

Top 10 peaks for 10 to 90 degrees two-theta, low angle first:
2θ (°)	Rel. int.
26.1	15
36.7	87
39.8	100
40.3	50
46.0	46
48.2	53
52.0	26
67.7	19
71.9	22
75.0	33

Structure:
```
Sc3Zn3CuNi2
1.0
6.835 0.000 0.000
-3.418 5.920 0.000
0.000 0.000 3.520
Sc Zn Cu Ni
3 3 1 2
direct
0.000 0.412 0.000 Sc
0.412 0.000 0.000 Sc
0.588 0.588 0.000 Sc
0.000 0.742 0.500 Zn
0.258 0.258 0.500 Zn
0.742 0.000 0.500 Zn
0.000 0.000 0.000 Cu
0.333 0.667 0.500 Ni
0.667 0.333 0.500 Ni
```

***

What did the third record say?
This entry pairs a crystal structure of ZnCuNiSe3 with its simulated powder diffraction line list. Radiation: Cu Kα, 1.54184 Å. Structure: DFT lattice parameters and positions (PBE).

Top 10 peaks for 10 to 90 degrees two-theta, low angle first:
2θ (°)	Rel. int.
14.3	100
28.5	35
29.8	18
30.1	24
31.4	27
35.7	18
37.3	41
44.8	29
46.0	61
48.3	32

Structure:
```
ZnCuNiSe3
1.0
6.947 0.000 0.000
0.000 3.768 0.000
-2.237 0.000 9.411
Zn Cu Ni Se
2 2 2 6
direct
0.197 0.250 0.236 Zn
0.803 0.750 0.764 Zn
0.410 0.750 0.419 Cu
0.590 0.250 0.581 Cu
0.037 0.250 0.918 Ni
0.963 0.750 0.082 Ni
0.035 0.750 0.335 Se
0.245 0.750 0.989 Se
0.439 0.750 0.679 Se
0.561 0.250 0.321 Se
0.755 0.250 0.011 Se
0.965 0.250 0.665 Se
```

***

Repeat the first record exactly.
This entry pairs a crystal structure of Sc3Zn3CuNi2 with its simulated powder diffraction line list. Radiation: Cu Kα, 1.54184 Å. Structure: DFT lattice parameters and positions (PBE).

Top 10 peaks for 10 to 90 degrees two-theta, low angle first:
2θ (°)	Rel. int.
26.1	15
36.7	87
39.8	100
40.3	50
46.0	46
48.2	53
52.0	26
67.7	19
71.9	22
75.0	33

Structure:
```
Sc3Zn3CuNi2
1.0
6.835 0.000 0.000
-3.418 5.920 0.000
0.000 0.000 3.520
Sc Zn Cu Ni
3 3 1 2
direct
0.000 0.412 0.000 Sc
0.412 0.000 0.000 Sc
0.588 0.588 0.000 Sc
0.000 0.742 0.500 Zn
0.258 0.258 0.500 Zn
0.742 0.000 0.500 Zn
0.000 0.000 0.000 Cu
0.333 0.667 0.500 Ni
0.667 0.333 0.500 Ni
```